(1)
Diffraction record for Sm2Br2F. The X-ray powder pattern is calculated, not measured: it uses DFT lattice parameters and positions (GGA-PBE) and λ = 1.5418 Å (Cu Kα).

Structure:
a b c (Å): 3.959 3.959 13.761
angles (deg): 90.00 90.00 90.00
Fractional positions:
Sm 0.000 0.000 0.167
Sm 0.000 0.000 0.833
Br 0.000 0.000 0.357
Br 0.000 0.000 0.643
F 0.000 0.000 0.000

Peak list (8 most intense, 5° ≤ 2θ ≤ 70°, by angle)
| 2θ (°) | I (rel.) |
| --- | --- |
| 12.9 | 21 |
| 22.5 | 100 |
| 25.9 | 28 |
| 32.0 | 41 |
| 34.6 | 29 |
| 45.7 | 23 |
| 51.6 | 21 |
| 66.8 | 19 |



(2)
Diffraction record for Ba2MgTi2O6. The X-ray powder pattern is calculated, not measured: it uses DFT lattice parameters and positions (GGA-PBE) and λ = 1.5418 Å (Cu Kα).

Structure:
a b c (Å): 5.984 5.985 6.651
angles (deg): 63.38 63.34 60.04
Fractional positions:
Ba 0.000 0.000 0.000
Ba 0.431 0.430 0.707
Mg 0.640 0.640 0.080
Ti 0.222 0.222 0.333
Ti 0.801 0.800 0.597
O 0.432 0.976 0.157
O 0.434 0.431 0.159
O 0.448 0.976 0.596
O 0.975 0.434 0.158
O 0.977 0.979 0.595
O 0.980 0.446 0.596

Peak list (8 most intense, 5° ≤ 2θ ≤ 70°, by angle)
| 2θ (°) | I (rel.) |
| --- | --- |
| 20.0 | 28 |
| 27.1 | 25 |
| 29.9 | 100 |
| 31.4 | 91 |
| 36.2 | 30 |
| 40.7 | 25 |
| 43.9 | 28 |
| 54.0 | 39 |



(3)
Diffraction record for SrH2Br2O7. The X-ray powder pattern is calculated, not measured: it uses DFT lattice parameters and positions (GGA-PBE) and λ = 1.5418 Å (Cu Kα).

Structure:
a b c (Å): 7.611 7.611 9.005
angles (deg): 125.89 125.89 61.58
Fractional positions:
Sr 0.149 0.851 0.750
Sr 0.851 0.149 0.250
H 0.215 0.717 0.135
H 0.283 0.785 0.365
H 0.717 0.215 0.635
H 0.785 0.283 0.865
Br 0.286 0.330 0.305
Br 0.330 0.286 0.805
Br 0.670 0.714 0.195
Br 0.714 0.670 0.695
O 0.096 0.190 0.622
O 0.176 0.824 0.250
O 0.190 0.096 0.122
O 0.223 0.401 0.487
O 0.245 0.567 0.900
O 0.401 0.223 0.987
O 0.433 0.755 0.600
O 0.567 0.245 0.400
O 0.599 0.777 0.013
O 0.755 0.433 0.100
O 0.777 0.599 0.513
O 0.810 0.904 0.878
O 0.824 0.176 0.750
O 0.904 0.810 0.378

Peak list (8 most intense, 5° ≤ 2θ ≤ 70°, by angle)
| 2θ (°) | I (rel.) |
| --- | --- |
| 15.0 | 33 |
| 22.8 | 28 |
| 24.6 | 28 |
| 27.1 | 28 |
| 27.3 | 43 |
| 29.6 | 42 |
| 30.3 | 100 |
| 40.1 | 28 |



(4)
Diffraction record for Nb4Co4Si7. The X-ray powder pattern is calculated, not measured: it uses DFT lattice parameters and positions (GGA-PBE) and λ = 1.5418 Å (Cu Kα).

Structure:
a b c (Å): 9.250 9.250 9.250
angles (deg): 94.22 94.22 148.52
Fractional positions:
Nb 0.000 0.191 0.191
Nb 0.000 0.809 0.809
Nb 0.191 0.000 0.191
Nb 0.366 0.366 0.732
Nb 0.366 0.634 0.000
Nb 0.634 0.366 0.000
Nb 0.634 0.634 0.268
Nb 0.809 0.000 0.809
Co 0.101 0.601 0.202
Co 0.101 0.899 0.500
Co 0.399 0.601 0.500
Co 0.399 0.899 0.798
Co 0.601 0.101 0.202
Co 0.601 0.399 0.500
Co 0.899 0.101 0.500
Co 0.899 0.399 0.798
Si 0.000 0.406 0.406
Si 0.000 0.594 0.594
Si 0.203 0.500 0.703
Si 0.208 0.208 0.417
Si 0.208 0.792 0.000
Si 0.251 0.251 0.000
Si 0.406 0.000 0.406
Si 0.500 0.203 0.703
Si 0.500 0.797 0.297
Si 0.594 0.000 0.594
Si 0.749 0.749 0.000
Si 0.792 0.208 0.000
Si 0.792 0.792 0.583
Si 0.797 0.500 0.297

Peak list (8 most intense, 5° ≤ 2θ ≤ 70°, by angle)
| 2θ (°) | I (rel.) |
| --- | --- |
| 31.2 | 18 |
| 34.4 | 15 |
| 40.1 | 100 |
| 40.5 | 23 |
| 42.6 | 59 |
| 43.1 | 28 |
| 67.2 | 21 |
| 67.9 | 21 |